TiReSn2: computed X-ray powder pattern (Cu Kα), based on a PBE-relaxed structure.
Intensities are scaled so that the largest is 100.

Cell: 4.043 4.043 19.879 Å, 90.00 90.00 90.00°
Space group I-42d (No. 122)
Symmetry-distinct sites (fractional):
Ti (0.000, 0.000, 0.000) x4
Re (0.000, 0.000, 0.500) x4
Sn (0.248, 0.250, 0.125) x8

Most intense lines, 2θ = 10–90°, by angle:
hkl 1 0 1, 2θ 22.44, rel. 19; hkl 1 1 2, 2θ 32.59, rel. 100; hkl 0 0 8, 2θ 36.15, rel. 38; hkl 1 1 6, 2θ 41.73, rel. 51; hkl 2 0 4, 2θ 48.63, rel. 66; hkl 1 1 10, 2θ 56.38, rel. 21

***

SrRe2: computed X-ray powder pattern (Cu Kα), based on a PBE-relaxed structure.
Intensities are scaled so that the largest is 100.

Cell: 3.206 3.206 12.555 Å, 90.00 90.00 90.00°
Space group I4/mmm (No. 139)
Symmetry-distinct sites (fractional):
Sr (0.000, 0.000, 0.000) x2
Re (0.000, 0.000, 0.296) x4

Most intense lines, 2θ = 10–90°, by angle:
hkl 0 0 2, 2θ 14.11, rel. 78; hkl 1 0 3, 2θ 35.27, rel. 100; hkl 1 1 0, 2θ 39.77, rel. 55; hkl 1 0 5, 2θ 45.91, rel. 27; hkl 1 0 7, 2θ 59.01, rel. 29; hkl 2 1 3, 2θ 69.28, rel. 28

***

SrTa2Re: computed X-ray powder pattern (Cu Kα), based on a PBE-relaxed structure.
Intensities are scaled so that the largest is 100.

Cell: 3.076 4.292 7.151 Å, 90.00 98.28 90.00°
Space group Pm (No. 6)
Symmetry-distinct sites (fractional):
Sr (0.000, 0.000, 0.000) x1
Ta (0.125, 0.000, 0.533) x1
Ta (0.628, 0.500, 0.350) x1
Re (0.512, 0.500, 0.680) x1

Most intense lines, 2θ = 10–90°, by angle:
hkl 0 0 1, 2θ 12.51, rel. 100; hkl 0 1 2, 2θ 32.81, rel. 53; hkl 1 0 -2, 2θ 36.04, rel. 31; hkl 1 1 0, 2θ 36.17, rel. 73; hkl 0 2 0, 2θ 42.11, rel. 28; hkl 0 1 3, 2θ 43.79, rel. 26

***

SrVRe2: computed X-ray powder pattern (Cu Kα), based on a PBE-relaxed structure.
Intensities are scaled so that the largest is 100.

Cell: 4.944 4.944 16.693 Å, 90.00 90.00 90.00°
Space group I4_1/amd (No. 141, origin choice 2)
Symmetry-distinct sites (fractional):
Sr (0.000, 0.250, 0.375) x4
V (0.000, 0.250, 0.875) x4
Re (0.000, 0.000, 0.000) x8

Most intense lines, 2θ = 10–90°, by angle:
hkl 1 0 1, 2θ 18.72, rel. 100; hkl 1 0 3, 2θ 24.08, rel. 98; hkl 1 0 5, 2θ 32.36, rel. 47; hkl 2 0 2, 2θ 37.96, rel. 93; hkl 2 1 1, 2θ 41.18, rel. 49; hkl 2 2 4, 2θ 57.13, rel. 53

***

Ta4Re3: computed X-ray powder pattern (Cu Kα), based on a PBE-relaxed structure.
Intensities are scaled so that the largest is 100.

Cell: 3.205 3.205 22.740 Å, 90.00 90.00 90.00°
Space group I4/mmm (No. 139)
Symmetry-distinct sites (fractional):
Ta (0.000, 0.000, 0.070) x4
Ta (0.000, 0.000, 0.353) x4
Re (0.000, 0.000, 0.215) x4
Re (0.000, 0.000, 0.500) x2

Most intense lines, 2θ = 10–90°, by angle:
hkl 1 0 7, 2θ 39.50, rel. 100; hkl 1 1 0, 2θ 39.78, rel. 49; hkl 2 0 0, 2θ 57.51, rel. 17; hkl 1 1 14, 2θ 71.46, rel. 17; hkl 2 1 7, 2θ 72.02, rel. 35; hkl 2 0 14, 2θ 85.04, rel. 11

***

Ta5Re: computed X-ray powder pattern (Cu Kα), based on a PBE-relaxed structure.
Intensities are scaled so that the largest is 100.

Cell: 3.253 13.848 4.671 Å, 90.00 90.00 90.00°
Space group Cmmm (No. 65)
Symmetry-distinct sites (fractional):
Ta (0.000, 0.000, 0.000) x2
Ta (0.000, 0.161, 0.500) x4
Ta (0.000, 0.332, 0.000) x4
Re (0.000, 0.500, 0.500) x2

Most intense lines, 2θ = 10–90°, by angle:
hkl 0 0 2, 2θ 38.55, rel. 21; hkl 1 3 1, 2θ 38.99, rel. 100; hkl 0 6 2, 2θ 56.02, rel. 14; hkl 1 3 3, 2θ 70.03, rel. 15; hkl 2 0 2, 2θ 70.63, rel. 21; hkl 2 6 2, 2θ 83.71, rel. 9

***

Ta4Re5: computed X-ray powder pattern (Cu Kα), based on a PBE-relaxed structure.
Intensities are scaled so that the largest is 100.

Cell: 9.610 9.610 3.173 Å, 90.00 90.00 90.00°
Space group I4/mmm (No. 139)
Symmetry-distinct sites (fractional):
Ta (0.000, 0.326, 0.000) x8
Re (0.000, 0.000, 0.000) x2
Re (0.165, 0.165, 0.500) x8

Most intense lines, 2θ = 10–90°, by angle:
hkl 3 3 0, 2θ 39.80, rel. 50; hkl 3 0 1, 2θ 40.00, rel. 100; hkl 6 0 0, 2θ 57.54, rel. 17; hkl 6 3 1, 2θ 72.38, rel. 35; hkl 3 3 2, 2θ 72.78, rel. 17; hkl 6 0 2, 2θ 86.31, rel. 11

***

Ta7Re: computed X-ray powder pattern (Cu Kα), based on a PBE-relaxed structure.
Intensities are scaled so that the largest is 100.

Cell: 8.352 8.352 8.352 Å, 90.00 90.00 90.00°
Space group Fm-3m (No. 225)
Symmetry-distinct sites (fractional):
Ta (0.000, 0.000, 0.000) x4
Ta (0.000, 0.250, 0.250) x24
Re (0.000, 0.000, 0.500) x4

Most intense lines, 2θ = 10–90°, by angle:
hkl 2 2 2, 2θ 37.30, rel. 100; hkl 4 0 0, 2θ 43.34, rel. 50; hkl 4 4 0, 2θ 62.96, rel. 33; hkl 6 2 2, 2θ 75.51, rel. 39; hkl 4 4 4, 2θ 79.51, rel. 11